1.
Diffraction record for Li4CoO3F. The powder X-ray diffraction pattern is computed, not measured: it uses a structure optimized by DFT (GGA+U) and Cu Kα (λ = 1.5418 Å).

Crystal structure
a b c (Å): 5.2250 5.3471 7.7588
angles (deg): 70.02 82.91 66.35
Sites, in units of the cell vectors:
Li (0.0000, 0.0000, 0.0000)
Li (0.0023, 0.2270, 0.5732)
Li (0.0040, 0.8419, 0.4169)
Li (0.4767, 0.6555, 0.5786)
Li (0.4930, 0.2319, 0.4423)
Li (0.5073, 0.4996, 0.0065)
Li (0.5208, 0.1472, 0.7860)
Li (0.9634, 0.3431, 0.2196)
Co (0.5064, 0.9495, 0.2062)
Co (0.9422, 0.5922, 0.7578)
O (0.2356, 0.4464, 0.6021)
O (0.2633, 0.0429, 0.3933)
O (0.4127, 0.8943, 0.0148)
O (0.7456, 0.1312, 0.1992)
O (0.7461, 0.3660, 0.8074)
O (0.7871, 0.9616, 0.6247)
F (0.1013, 0.5659, 0.9977)
F (0.7406, 0.5513, 0.3790)

The 10 most intense peaks (2θ from 15° to 90°), by angle:
| 2θ/deg | Rel. int. |
| --- | --- |
| 19.10 | 100.0 |
| 20.92 | 87.2 |
| 22.06 | 79.9 |
| 22.38 | 70.0 |
| 25.86 | 90.7 |
| 27.42 | 65.2 |
| 31.61 | 36.5 |
| 40.80 | 34.4 |
| 43.83 | 38.7 |
| 44.37 | 36.7 |


2.
Diffraction record for LiCo6O2F10. The powder X-ray diffraction pattern is computed, not measured: it uses a structure optimized by DFT (GGA+U) and Cu Kα (λ = 1.5418 Å).

Crystal structure
a b c (Å): 4.8360 4.8360 9.6738
angles (deg): 91.51 91.51 90.34
Sites, in units of the cell vectors:
Li (0.0000, 0.0000, 0.0000)
Co (0.2633, 0.2633, 0.3056)
Co (0.2731, 0.2731, 0.6446)
Co (0.3406, 0.3406, 0.9489)
Co (0.7155, 0.7155, 0.1569)
Co (0.7680, 0.7680, 0.4735)
Co (0.8205, 0.8205, 0.7905)
O (0.1203, 0.1203, 0.8270)
O (0.4329, 0.4329, 0.1258)
F (0.0177, 0.0177, 0.1790)
F (0.0717, 0.0717, 0.4782)
F (0.4619, 0.4619, 0.4739)
F (0.5136, 0.5136, 0.7920)
F (0.5379, 0.9366, 0.3134)
F (0.5932, 0.9901, 0.6363)
F (0.6123, 0.9834, 0.9702)
F (0.9366, 0.5379, 0.3134)
F (0.9834, 0.6123, 0.9702)
F (0.9901, 0.5932, 0.6363)

The 10 most intense peaks (2θ from 15° to 90°), by angle:
| 2θ/deg | Rel. int. |
| --- | --- |
| 25.98 | 100.0 |
| 26.16 | 75.7 |
| 33.00 | 51.9 |
| 33.84 | 45.8 |
| 50.45 | 36.0 |
| 51.06 | 30.4 |
| 51.85 | 22.7 |
| 53.43 | 19.0 |
| 63.87 | 18.1 |
| 65.44 | 17.6 |


3.
Diffraction record for Li4Co3OF8. The powder X-ray diffraction pattern is computed, not measured: it uses a structure optimized by DFT (GGA+U) and Cu Kα (λ = 1.5418 Å).

Crystal structure
a b c (Å): 5.0964 5.0964 11.5181
angles (deg): 101.39 101.39 32.66
Sites, in units of the cell vectors:
Li (0.0000, 0.0000, 0.0000)
Li (0.0958, 0.0958, 0.3153)
Li (0.2228, 0.2228, 0.8795)
Li (0.3774, 0.3774, 0.4285)
Co (0.4689, 0.4689, 0.7506)
Co (0.6533, 0.6533, 0.6031)
Co (0.7993, 0.7993, 0.1717)
O (0.0943, 0.0943, 0.7085)
F (0.0401, 0.0401, 0.4727)
F (0.1433, 0.1433, 0.1479)
F (0.3126, 0.3126, 0.5866)
F (0.3581, 0.3581, 0.0425)
F (0.4394, 0.4394, 0.2666)
F (0.5974, 0.5974, 0.9252)
F (0.7431, 0.7431, 0.3502)
F (0.8539, 0.8539, 0.8256)

The 10 most intense peaks (2θ from 15° to 90°), by angle:
| 2θ/deg | Rel. int. |
| --- | --- |
| 15.72 | 100.0 |
| 21.61 | 76.4 |
| 21.75 | 50.0 |
| 33.18 | 42.9 |
| 33.42 | 25.1 |
| 40.33 | 40.7 |
| 41.88 | 24.7 |
| 43.26 | 51.9 |
| 44.31 | 26.7 |
| 45.96 | 41.8 |


4.
Diffraction record for LiCo2OF5. The powder X-ray diffraction pattern is computed, not measured: it uses a structure optimized by DFT (GGA+U) and Cu Kα (λ = 1.5418 Å).

Crystal structure
a b c (Å): 4.5787 4.5787 18.3682
angles (deg): 90.76 90.76 89.95
Sites, in units of the cell vectors:
Li (0.0041, 0.9959, 0.5000)
Li (0.5058, 0.5234, 0.7498)
Li (0.5234, 0.5058, 0.2498)
Li (0.9959, 0.0041, 0.0000)
Co (0.0175, 0.0195, 0.8355)
Co (0.0195, 0.0175, 0.3355)
Co (0.0389, 0.9868, 0.1671)
Co (0.4834, 0.4876, 0.9172)
Co (0.4876, 0.4834, 0.4172)
Co (0.5006, 0.5172, 0.0858)
Co (0.5172, 0.5006, 0.5858)
Co (0.9868, 0.0389, 0.6671)
O (0.2132, 0.2160, 0.9088)
O (0.2160, 0.2132, 0.4088)
O (0.3093, 0.7158, 0.1585)
O (0.7158, 0.3093, 0.6585)
F (0.2079, 0.2108, 0.7508)
F (0.2094, 0.2193, 0.0839)
F (0.2108, 0.2079, 0.2508)
F (0.2193, 0.2094, 0.5839)
F (0.3015, 0.7239, 0.6644)
F (0.3069, 0.7212, 0.8342)
F (0.3096, 0.7080, 0.0004)
F (0.3095, 0.7191, 0.3343)
F (0.3233, 0.6934, 0.5048)
F (0.6934, 0.3233, 0.0048)
F (0.7080, 0.3096, 0.5004)
F (0.7191, 0.3095, 0.8343)
F (0.7212, 0.3069, 0.3342)
F (0.7239, 0.3015, 0.1644)
F (0.7968, 0.8007, 0.9143)
F (0.7982, 0.8087, 0.0848)
F (0.8007, 0.7968, 0.4143)
F (0.8087, 0.7982, 0.5848)
F (0.8235, 0.8266, 0.7536)
F (0.8266, 0.8235, 0.2536)

The 10 most intense peaks (2θ from 15° to 90°), by angle:
| 2θ/deg | Rel. int. |
| --- | --- |
| 19.33 | 25.3 |
| 21.57 | 38.8 |
| 21.81 | 29.7 |
| 27.55 | 100.0 |
| 35.05 | 25.7 |
| 35.49 | 21.9 |
| 40.57 | 18.8 |
| 54.04 | 18.8 |
| 56.88 | 22.5 |
| 68.30 | 17.8 |